No. 1
# RbNdMn2Cl8
Computed powder diffractogram, CuKα. Input: DFT lattice parameters and positions (GGA-PBE).
Lines closer than 0.1° are merged.

Principal peaks in the range 2θ from 15° to 90°, by angle:
19.36°, d 4.586, rel. 1000; 27.35°, d 3.261, rel. 539; 27.66°, d 3.225, rel. 298; 32.34°, d 2.768, rel. 353; 33.73°, d 2.658, rel. 270; 37.75°, d 2.383, rel. 150; 43.95°, d 2.060, rel. 241; 44.37°, d 2.042, rel. 413; 48.34°, d 1.883, rel. 309; 49.12°, d 1.855, rel. 136

Structure:
```
RbNdMn2Cl8
1.0
3.2609 1.8827 10.4739
-3.2609 1.8827 10.4739
0.0000 -3.7654 10.4739
Rb Nd Mn Cl
1 1 2 8
Direct
0.0000 0.0000 0.0000
0.5000 0.5000 0.5000
0.2491 0.2491 0.2491
0.7509 0.7509 0.7509
0.1217 0.4351 0.7743
0.2257 0.5649 0.8783
0.3212 0.3212 0.3212
0.4351 0.7743 0.1217
0.5649 0.8783 0.2257
0.6788 0.6788 0.6788
0.7743 0.1217 0.4351
0.8783 0.2257 0.5649
```

---

No. 2
# Np2MnCl8
Computed powder diffractogram, CuKα. Input: DFT lattice parameters and positions (GGA-PBE).
Lines closer than 0.1° are merged.

Principal peaks in the range 2θ from 15° to 90°, by angle:
17.25°, d 5.141, rel. 377; 22.40°, d 3.969, rel. 641; 25.64°, d 3.474, rel. 318; 26.36°, d 3.381, rel. 1000; 27.71°, d 3.220, rel. 416; 31.99°, d 2.798, rel. 884; 32.20°, d 2.780, rel. 513; 36.50°, d 2.462, rel. 343; 41.30°, d 2.186, rel. 363; 41.75°, d 2.163, rel. 318

Structure:
```
Np2MnCl8
1.0
10.4903 -1.9381 0.0000
10.4903 1.9381 0.0000
-1.6022 0.0000 7.9258
Np Mn Cl
2 1 8
Direct
0.1532 0.1532 0.3381
0.8468 0.8468 0.6619
0.5000 0.5000 0.0000
0.0107 0.0107 0.2121
0.2464 0.2464 0.6660
0.3771 0.3771 0.9333
0.3910 0.3910 0.4787
0.6090 0.6090 0.5213
0.6229 0.6229 0.0667
0.7536 0.7536 0.3340
0.9893 0.9893 0.7879
```

---

What is the formula in the first record?
RbNdMn2Cl8